No. 1
The following is a computed powder X-ray diffraction pattern of Pr12Sm7Zr. It was derived from a DFT-relaxed cell (GGA-PBE, Alexandria), using Cu Kα, 1.54184 Å.
Peak positions follow from Bragg's law for the DFT cell and can differ from measured ones.

Main lines, by intensity (2θ = 15–90°):
hkl, 2θ (°), d_spacing, I_rel
0 5 1, 29.71, 3.007, 100
2 0 2, 30.14, 2.965, 44
5 1 1, 32.42, 2.761, 39
3 3 0, 27.11, 3.289, 38
5 2 0, 32.72, 2.737, 37
5 0 2, 38.80, 2.321, 33
5 5 0, 45.98, 1.974, 29
7 0 1, 39.57, 2.278, 26
0 7 2, 47.03, 1.932, 25
3 1 2, 34.09, 2.630, 24

Atomic structure:
a b c (Å): 19.7352 19.7352 6.3223
angles (deg): 90.00 90.00 120.00
Space group R-3m (No. 166, hexagonal axes)
One atom of each set of equivalent atoms:
Pr (0.0000, 0.4110, 0.0000) x18
Pr (0.0972, 0.5486, 0.4780) x18
Sm (0.0000, 0.0000, 0.0000) x3
Sm (0.0816, 0.1631, 0.3035) x18
Zr (0.0000, 0.0000, 0.5000) x3

=====

No. 2
The following is a computed powder X-ray diffraction pattern of LaNbSi. It was derived from a DFT-relaxed cell (GGA-PBE, Alexandria), using Cu Kα, 1.54184 Å.
Peak positions follow from Bragg's law for the DFT cell and can differ from measured ones.

Main lines, by intensity (2θ = 15–90°):
hkl, 2θ (°), d_spacing, I_rel
1 1 2, 33.02, 2.713, 100
1 0 3, 27.15, 3.285, 84
1 1 4, 37.99, 2.368, 65
2 0 0, 44.72, 2.027, 50
1 1 8, 54.07, 1.696, 47
1 0 5, 34.65, 2.589, 45
0 0 6, 31.92, 2.804, 42
2 0 6, 55.99, 1.642, 34
2 1 3, 53.10, 1.725, 26
2 1 5, 57.78, 1.596, 20

Atomic structure:
a b c (Å): 4.053 4.053 16.821
angles (deg): 90.00 90.00 90.00
Space group I4/mmm (No. 139)
One atom of each set of equivalent atoms:
La (0.000, 0.000, 0.174) x4
Nb (0.000, 0.500, 0.000) x4
Si (0.000, 0.000, 0.389) x4

=====

No. 3
The following is a computed powder X-ray diffraction pattern of SiAs2Pb. It was derived from a DFT-relaxed cell (GGA-PBE, Alexandria), using Cu Kα, 1.54184 Å.
Peak positions follow from Bragg's law for the DFT cell and can differ from measured ones.

Main lines, by intensity (2θ = 15–90°):
hkl, 2θ (°), d_spacing, I_rel
0 1 3, 28.71, 3.109, 100
1 0 2, 28.12, 3.174, 74
1 1 5, 46.03, 1.972, 47
1 1 1, 34.54, 2.597, 47
1 1 3, 38.68, 2.328, 30
2 1 3, 60.57, 1.529, 25
1 2 2, 54.25, 1.691, 24
0 0 6, 36.30, 2.475, 18
0 2 0, 45.39, 1.998, 17
0 1 1, 23.05, 3.859, 17

Atomic structure:
a b c (Å): 3.511 3.996 14.848
angles (deg): 90.00 90.00 90.00
Space group Amm2 (No. 38)
One atom of each set of equivalent atoms:
Si (0.000, 0.000, 0.000) x2
As (0.000, 0.000, 0.402) x2
As (0.500, 0.000, 0.104) x2
Pb (0.500, 0.000, 0.739) x2

=====

What did the second record say?
The following is a computed powder X-ray diffraction pattern of LaNbSi. It was derived from a DFT-relaxed cell (GGA-PBE, Alexandria), using Cu Kα, 1.54184 Å.
Peak positions follow from Bragg's law for the DFT cell and can differ from measured ones.

Main lines, by intensity (2θ = 15–90°):
hkl, 2θ (°), d_spacing, I_rel
1 1 2, 33.02, 2.713, 100
1 0 3, 27.15, 3.285, 84
1 1 4, 37.99, 2.368, 65
2 0 0, 44.72, 2.027, 50
1 1 8, 54.07, 1.696, 47
1 0 5, 34.65, 2.589, 45
0 0 6, 31.92, 2.804, 42
2 0 6, 55.99, 1.642, 34
2 1 3, 53.10, 1.725, 26
2 1 5, 57.78, 1.596, 20

Atomic structure:
a b c (Å): 4.053 4.053 16.821
angles (deg): 90.00 90.00 90.00
Space group I4/mmm (No. 139)
One atom of each set of equivalent atoms:
La (0.000, 0.000, 0.174) x4
Nb (0.000, 0.500, 0.000) x4
Si (0.000, 0.000, 0.389) x4